Computed powder X-ray diffraction pattern of LiVPO5 for Cu Kα, 1.54184 Å, from the PBE+U geometry in Alexandria.

Peak list (8 most intense, 2θ = 10–90°, sorted by position)
| 2θ (°) | I (rel.) | (hkl) |
| --- | --- | --- |
| 18.37 | 23 | 0 1 1 |
| 24.17 | 18 | 0 0 2 |
| 27.00 | 100 | 2 0 1 |
| 27.90 | 52 | 0 2 0 |
| 30.48 | 18 | 1 1 2 |
| 39.24 | 21 | 1 2 2 |
| 44.24 | 21 | 0 3 1 |
| 57.63 | 15 | 0 4 0 |

```
32
Lattice="7.395 0.000 0.000 0.000 6.396 0.000 0.000 0.000 7.365" Properties=species:S:1:pos:R:3 pbc="T T T"
Li 0.000 0.000 0.000
Li 0.000 3.198 0.000
Li 3.698 0.000 3.682
Li 3.698 3.198 3.682
V 1.228 1.599 2.051
V 2.469 4.797 5.733
V 4.926 1.599 1.632
V 6.167 4.797 5.314
P 0.937 4.797 2.764
P 2.760 1.599 6.446
P 4.635 4.797 0.918
P 6.458 1.599 4.600
O 0.347 1.599 3.760
O 0.812 4.797 6.158
O 0.961 3.564 1.823
O 0.961 6.030 1.823
O 1.495 1.599 7.360
O 2.203 4.797 3.678
O 2.736 0.366 5.505
O 2.736 2.832 5.505
O 2.886 1.599 2.476
O 3.351 4.797 0.077
O 4.044 1.599 7.287
O 4.510 4.797 4.889
O 4.659 3.564 1.860
O 4.659 6.030 1.860
O 5.193 1.599 3.686
O 5.900 4.797 0.004
O 6.434 0.366 5.542
O 6.434 2.832 5.542
O 6.583 1.599 1.207
O 7.049 4.797 3.605
```